For MoPb5, a crystal structure in Alexandria, relaxed with GGA-PBE gives the calculated XRD peak list in this record (copper Kα).

Structure:
```
data_MoPb5
_cell_length_a 5.450
_cell_length_b 3.397
_cell_length_c 18.172
_cell_angle_alpha 90.00
_cell_angle_beta 90.00
_cell_angle_gamma 90.00
_symmetry_space_group_name_H-M 'A m m 2'
_symmetry_Int_Tables_number 38
loop_
_symmetry_equiv_pos_as_xyz
'x,y,z'
'-x,-y,z'
'-x,y,z'
'x,-y,z'
'x,y+1/2,z+1/2'
'-x,-y+1/2,z+1/2'
'-x,y+1/2,z+1/2'
'x,-y+1/2,z+1/2'
loop_
_atom_site_label
_atom_site_type_symbol
_atom_site_fract_x
_atom_site_fract_y
_atom_site_fract_z
Mo1 Mo 0.000 0.000 0.000
Pb1 Pb 0.000 0.000 0.361
Pb2 Pb 0.000 0.000 0.646
Pb3 Pb 0.500 0.000 0.229
Pb4 Pb 0.500 0.000 0.547
Pb5 Pb 0.500 0.000 0.895
```

Most intense lines, 2θ = 10–90°, low angle first:
Position (°2θ), I_rel
25.53, 14
30.16, 23
32.87, 40
33.86, 39
34.45, 100
45.21, 16
59.71, 21
63.54, 13
64.66, 12
65.26, 12